No. 1
Structure and calculated PXRD pattern of Cu3BiO6 (a crystal structure in Alexandria, relaxed with PBE; Cu Kα, 1.54184 Å).
No peak broadening, texture or thermal motion is included.

Largest 10 diffraction maxima, by angle, 2θ = 5–70°:
2θ = 18.7°, I 32; 2θ = 22.1°, I 74; 2θ = 29.1°, I 52; 2θ = 32.7°, I 84; 2θ = 34.8°, I 100; 2θ = 44.3°, I 41; 2θ = 49.3°, I 39; 2θ = 56.8°, I 23; 2θ = 63.1°, I 25; 2θ = 63.8°, I 21

Structural model:
Lattice parameters (Å, degrees): 6.2844 6.2844 6.2844 98.20 98.20 98.20
Positions (direct):
1 Cu 0.0355 0.6138 0.2733
2 Cu 0.2733 0.0355 0.6138
3 Cu 0.3862 0.7267 0.9645
4 Cu 0.6138 0.2733 0.0355
5 Cu 0.7267 0.9645 0.3862
6 Cu 0.9645 0.3862 0.7267
7 Bi 0.0000 0.0000 0.0000
8 Bi 0.5000 0.5000 0.5000
9 O 0.0885 0.6697 0.8580
10 O 0.1420 0.9115 0.3303
11 O 0.1951 0.3152 0.5741
12 O 0.3152 0.5741 0.1951
13 O 0.3303 0.1420 0.9115
14 O 0.4259 0.8049 0.6848
15 O 0.5741 0.1951 0.3152
16 O 0.6697 0.8580 0.0885
17 O 0.6848 0.4259 0.8049
18 O 0.8049 0.6848 0.4259
19 O 0.8580 0.0885 0.6697
20 O 0.9115 0.3303 0.1420

No. 2
Structure and calculated PXRD pattern of Cu6BiO12 (a crystal structure in Alexandria, relaxed with PBE; Cu Kα, 1.54184 Å).
No peak broadening, texture or thermal motion is included.

Largest 10 diffraction maxima, by angle, 2θ = 5–70°:
2θ = 23.5°, I 84; 2θ = 28.9°, I 62; 2θ = 33.5°, I 11; 2θ = 37.6°, I 13; 2θ = 44.8°, I 100; 2θ = 48.1°, I 10; 2θ = 51.3°, I 17; 2θ = 57.1°, I 8; 2θ = 62.6°, I 39; 2θ = 67.9°, I 13

Structural model:
Lattice parameters (Å, degrees): 6.5488 6.5488 6.5488 109.47 109.47 109.47
Positions (direct):
1 Cu 0.1627 0.6627 0.5000
2 Cu 0.3373 0.5000 0.8373
3 Cu 0.5000 0.1627 0.6627
4 Cu 0.5000 0.8373 0.3373
5 Cu 0.6627 0.5000 0.1627
6 Cu 0.8373 0.3373 0.5000
7 Bi 0.0000 0.0000 0.0000
8 O 0.1518 0.3356 0.4874
9 O 0.1518 0.6644 0.8162
10 O 0.1838 0.8482 0.3356
11 O 0.3356 0.1838 0.8482
12 O 0.3356 0.4874 0.1518
13 O 0.4874 0.1518 0.3356
14 O 0.5126 0.8482 0.6644
15 O 0.6644 0.5126 0.8482
16 O 0.6644 0.8162 0.1518
17 O 0.8162 0.1518 0.6644
18 O 0.8482 0.3356 0.1838
19 O 0.8482 0.6644 0.5126